For Nd5Co19B6, a PBE-relaxed structure gives the simulated XRD peak list in this record (Cu Kα (weighted mean of Kα1 and Kα2)).

Peak list (10 most intense, 5 to 70 degrees two-theta, by angle)
- 2θ 20.05, rel. 16
- 2θ 33.74, rel. 96
- 2θ 35.10, rel. 32
- 2θ 37.94, rel. 8
- 2θ 40.75, rel. 94
- 2θ 44.74, rel. 100
- 2θ 55.34, rel. 10
- 2θ 62.10, rel. 34
- 2θ 67.25, rel. 13
- 2θ 69.71, rel. 25

Structure:
```
Nd5Co19B6
1.0
5.1140 0.0000 0.0000
-2.5570 4.4288 0.0000
0.0000 0.0000 16.6002
Nd Co B
5 19 6
Direct
0.0000 0.0000 0.0000 Nd
0.0000 0.0000 0.2046 Nd
0.0000 0.0000 0.4067 Nd
0.0000 0.0000 0.5933 Nd
0.0000 0.0000 0.7954 Nd
0.0000 0.5000 0.0860 Co
0.0000 0.5000 0.3257 Co
0.0000 0.5000 0.5000 Co
0.0000 0.5000 0.6743 Co
0.0000 0.5000 0.9140 Co
0.3333 0.6667 0.2052 Co
0.3333 0.6667 0.7948 Co
0.5000 0.0000 0.0860 Co
0.5000 0.0000 0.3257 Co
0.5000 0.0000 0.5000 Co
0.5000 0.0000 0.6743 Co
0.5000 0.0000 0.9140 Co
0.5000 0.5000 0.0860 Co
0.5000 0.5000 0.3257 Co
0.5000 0.5000 0.5000 Co
0.5000 0.5000 0.6743 Co
0.5000 0.5000 0.9140 Co
0.6667 0.3333 0.2052 Co
0.6667 0.3333 0.7948 Co
0.3333 0.6667 0.0000 B
0.3333 0.6667 0.4115 B
0.3333 0.6667 0.5885 B
0.6667 0.3333 0.0000 B
0.6667 0.3333 0.4115 B
0.6667 0.3333 0.5885 B
```